[1]
The following is a theoretical powder diffractogram of CaFe2N2. It was derived from a DFT-relaxed cell (GGA-PBE, the Materials Project), using Cu Kα X-rays.
Intensities are scaled so that the largest is 100.

Main lines, low angle first (10 to 90 degrees two-theta):
- 2θ 25.34, intensity 50
- 2θ 29.43, intensity 100
- 2θ 36.14, intensity 60
- 2θ 39.43, intensity 83
- 2θ 45.21, intensity 24
- 2θ 52.03, intensity 37
- 2θ 59.20, intensity 27
- 2θ 60.91, intensity 21
- 2θ 67.19, intensity 30
- 2θ 71.36, intensity 21

Atomic structure:
```
CaFe2N2
1.0
3.515 0.000 0.000
0.000 3.515 0.000
0.000 0.000 6.017
Ca Fe N
1 2 2
Cartesian
0.000 0.000 0.000
1.758 1.758 1.879
1.758 1.758 4.138
0.000 1.758 4.295
1.758 0.000 1.721
```

---

[2]
The following is a theoretical powder diffractogram of Ho2B4O9. It was derived from a DFT-relaxed cell (GGA-PBE, the Materials Project), using Cu Kα X-rays.
Intensities are scaled so that the largest is 100.

Main lines, low angle first (10 to 90 degrees two-theta):
- 2θ 12.31, intensity 45
- 2θ 17.57, intensity 44
- 2θ 23.37, intensity 44
- 2θ 26.58, intensity 38
- 2θ 28.81, intensity 49
- 2θ 29.38, intensity 42
- 2θ 30.00, intensity 100
- 2θ 31.92, intensity 34
- 2θ 35.79, intensity 30
- 2θ 52.20, intensity 32

Atomic structure:
```
Ho2B4O9
1.0
6.186 0.000 0.000
-1.386 6.295 0.000
-0.930 -1.866 7.191
Ho B O
4 8 18
Cartesian
-0.087 0.037 2.066
1.122 3.592 2.585
2.747 0.837 4.605
3.957 4.392 5.125
-0.318 1.031 4.681
-0.808 2.564 6.667
0.054 0.270 7.057
2.680 0.563 1.363
1.190 3.866 5.827
3.815 4.159 0.134
4.678 1.865 0.524
4.188 3.398 2.510
-1.086 4.941 0.148
-1.196 1.990 5.377
-1.054 4.318 3.202
0.534 0.185 5.670
0.862 3.520 0.305
0.690 1.576 3.753
-0.089 3.825 6.322
1.704 1.510 1.032
2.299 -0.328 2.338
1.571 4.757 4.853
2.166 2.919 6.158
3.959 0.604 0.868
3.180 2.853 3.438
3.008 0.909 6.886
3.336 4.244 1.520
4.924 0.112 3.989
5.066 2.440 1.814
4.956 -0.512 7.043
```

---

[3]
The following is a theoretical powder diffractogram of Cu6PbO8. It was derived from a DFT-relaxed cell (GGA-PBE, the Materials Project), using Cu Kα X-rays.
Intensities are scaled so that the largest is 100.

Main lines, low angle first (10 to 90 degrees two-theta):
- 2θ 17.93, intensity 67
- 2θ 20.71, intensity 46
- 2θ 28.88, intensity 43
- 2θ 34.17, intensity 28
- 2θ 35.30, intensity 73
- 2θ 36.31, intensity 67
- 2θ 40.45, intensity 57
- 2θ 42.15, intensity 100
- 2θ 59.83, intensity 80
- 2θ 71.98, intensity 20

Atomic structure:
```
Cu6PbO8
1.0
-2.973 3.095 4.460
2.973 -3.095 4.460
2.973 3.095 -4.460
Cu Pb O
6 1 8
Cartesian
0.000 0.000 0.000
1.487 1.547 -2.230
1.487 -1.547 2.230
2.973 0.000 0.000
-1.487 1.547 2.230
1.487 1.547 2.230
0.000 0.000 4.460
1.503 1.365 0.000
4.443 1.365 0.000
2.973 0.000 2.063
0.000 0.000 2.143
0.000 0.000 6.777
0.000 3.095 2.397
-1.470 1.730 4.460
1.470 1.730 4.460
```

---

[4]
The following is a theoretical powder diffractogram of Sr2Al7Ge. It was derived from a DFT-relaxed cell (GGA-PBE, the Materials Project), using Cu Kα X-rays.
Intensities are scaled so that the largest is 100.

Main lines, low angle first (10 to 90 degrees two-theta):
- 2θ 28.21, intensity 40
- 2θ 31.40, intensity 91
- 2θ 32.59, intensity 100
- 2θ 40.33, intensity 58
- 2θ 45.66, intensity 40
- 2θ 51.98, intensity 43
- 2θ 58.35, intensity 19
- 2θ 62.53, intensity 31
- 2θ 68.45, intensity 23
- 2θ 81.74, intensity 14

Atomic structure:
```
Sr2Al7Ge
1.0
4.473 0.000 0.000
0.000 4.473 0.000
0.000 0.000 11.088
Sr Al Ge
2 7 1
Cartesian
0.000 0.000 0.000
2.237 2.237 5.524
0.000 0.000 4.229
0.000 2.237 2.762
0.000 2.237 8.311
2.237 0.000 2.762
2.237 0.000 8.311
2.237 2.237 1.295
2.237 2.237 9.752
0.000 0.000 6.834
```

---

[5]
The following is a theoretical powder diffractogram of ErCoC. It was derived from a DFT-relaxed cell (GGA-PBE, the Materials Project), using Cu Kα X-rays.
Intensities are scaled so that the largest is 100.

Main lines, low angle first (10 to 90 degrees two-theta):
- 2θ 24.67, intensity 27
- 2θ 26.22, intensity 9
- 2θ 35.17, intensity 50
- 2θ 36.31, intensity 100
- 2θ 44.40, intensity 14
- 2θ 50.59, intensity 21
- 2θ 53.96, intensity 8
- 2θ 63.85, intensity 38
- 2θ 66.06, intensity 16
- 2θ 77.10, intensity 12

Atomic structure:
```
ErCoC
1.0
3.609 0.000 0.000
0.000 3.609 0.000
0.000 0.000 6.797
Er Co C
2 2 2
Cartesian
0.000 0.000 1.699
0.000 0.000 5.097
1.804 1.804 0.000
1.804 1.804 3.398
0.000 1.804 0.000
1.804 0.000 3.398
```

---

[6]
The following is a theoretical powder diffractogram of Al2CrFeCo4. It was derived from a DFT-relaxed cell (GGA-PBE, the Materials Project), using Cu Kα X-rays.
Intensities are scaled so that the largest is 100.

Main lines, low angle first (10 to 90 degrees two-theta):
- 2θ 27.11, intensity 6
- 2θ 31.40, intensity 5
- 2θ 45.00, intensity 100
- 2θ 53.32, intensity 2
- 2θ 55.90, intensity 1
- 2θ 65.53, intensity 15
- 2θ 72.28, intensity 1
- 2θ 74.47, intensity 1
- 2θ 83.01, intensity 22
- 2θ 83.11, intensity 7

Atomic structure:
```
Al2CrFeCo4
1.0
2.015 1.164 6.573
-2.015 1.164 6.573
0.000 -2.327 6.573
Al Cr Fe Co
2 1 1 4
Cartesian
0.000 0.000 4.939
0.000 0.000 14.781
0.000 0.000 0.000
0.000 0.000 9.860
0.000 0.000 2.473
0.000 0.000 7.398
0.000 0.000 12.322
0.000 0.000 17.247
```